Theoretical powder diffraction line list
Compound: AcVB2O6
Radiation: λ = 1.5418 Å (Cu Kα)
Structure: DFT lattice parameters and positions (GGA+U)

Unit cell a=6.2334 b=6.2334 c=6.2334 alpha=47.48 beta=47.48 gamma=47.48
Positions (direct):
Ac 0.0000 0.0000 0.0000
V 0.5000 0.5000 0.5000
B 0.2371 0.2371 0.2371
B 0.7629 0.7629 0.7629
O 0.0608 0.6960 0.5209
O 0.3040 0.4791 0.9392
O 0.4791 0.9392 0.3040
O 0.5209 0.0608 0.6960
O 0.6960 0.5209 0.0608
O 0.9392 0.3040 0.4791

Main lines, low angle first (2θ = 5–70°):
2θ = 16.06°, d = 5.519 Å, I = 29
2θ = 21.13°, d = 4.204 Å, I = 55
2θ = 23.11°, d = 3.849 Å, I = 100
2θ = 29.81°, d = 2.998 Å, I = 100
2θ = 34.04°, d = 2.634 Å, I = 28
2θ = 35.78°, d = 2.510 Å, I = 38
2θ = 39.44°, d = 2.285 Å, I = 32
2θ = 43.03°, d = 2.102 Å, I = 30
2θ = 49.07°, d = 1.857 Å, I = 44
2θ = 57.16°, d = 1.612 Å, I = 24